No. 1
Structure and computed powder X-ray diffraction pattern of BiPd2O4 (the GGA-PBE geometry in Alexandria; a wavelength of 1.5418 Å).

Crystal structure
```
data_BiPd2O4
_chemical_formula_sum 'Bi2 Pd4 O8'
_space_group_name_H-M_alt 'P 1'
_space_group_IT_number 1
_space_group_name_Hall 'P 1'
_cell_length_a 6.8931
_cell_length_b 6.8931
_cell_length_c 4.6832
_cell_angle_alpha 90.00
_cell_angle_beta 90.00
_cell_angle_gamma 90.00
loop_
_atom_site_label
_atom_site_type_symbol
_atom_site_fract_x
_atom_site_fract_y
_atom_site_fract_z
Bi1 Bi 0.2500 0.2500 0.0244
Bi2 Bi 0.7500 0.7500 0.9756
Pd1 Pd 0.0000 0.0000 0.5000
Pd2 Pd 0.0000 0.5000 0.5000
Pd3 Pd 0.5000 0.0000 0.5000
Pd4 Pd 0.5000 0.5000 0.5000
O1 O 0.0234 0.7500 0.7161
O2 O 0.2500 0.5234 0.2839
O3 O 0.2500 0.9766 0.2839
O4 O 0.4766 0.7500 0.7161
O5 O 0.5234 0.2500 0.2839
O6 O 0.7500 0.0234 0.7161
O7 O 0.7500 0.4766 0.7161
O8 O 0.9766 0.2500 0.2839
```

Main lines, low angle first (2θ from 5° to 70°):
two_theta, I (rel.)
18.20, 42
26.39, 40
32.25, 100
36.88, 26
41.42, 13
45.92, 18
53.15, 16
54.33, 28
63.55, 29
65.66, 12



No. 2
Structure and computed powder X-ray diffraction pattern of BiPd2O (the GGA-PBE geometry in Alexandria; a wavelength of 1.5418 Å).

Crystal structure
```
data_BiPd2O
_chemical_formula_sum 'Bi2 Pd4 O2'
_space_group_name_H-M_alt 'P 1'
_space_group_IT_number 1
_space_group_name_Hall 'P 1'
_cell_length_a 7.1574
_cell_length_b 7.1574
_cell_length_c 7.1574
_cell_angle_alpha 138.56
_cell_angle_beta 138.56
_cell_angle_gamma 60.05
loop_
_atom_site_label
_atom_site_type_symbol
_atom_site_fract_x
_atom_site_fract_y
_atom_site_fract_z
Bi1 Bi 0.0000 0.0000 0.0000
Bi2 Bi 0.7500 0.2500 0.5000
Pd1 Pd 0.2862 0.6250 0.1612
Pd2 Pd 0.3750 0.5362 0.6612
Pd3 Pd 0.4638 0.1250 0.8388
Pd4 Pd 0.8750 0.7138 0.3388
O1 O 0.2500 0.7500 0.5000
O2 O 0.5000 0.5000 0.0000
```

Main lines, low angle first (2θ from 5° to 70°):
two_theta, I (rel.)
27.87, 79
28.79, 91
35.45, 11
38.40, 16
40.49, 100
46.30, 32
51.04, 21
54.90, 11
59.64, 47
67.08, 25



No. 3
Structure and computed powder X-ray diffraction pattern of Bi2PdO6 (the GGA-PBE geometry in Alexandria; a wavelength of 1.5418 Å).

Crystal structure
```
data_Bi2PdO6
_chemical_formula_sum 'Bi4 Pd2 O12'
_space_group_name_H-M_alt 'P 1'
_space_group_IT_number 1
_space_group_name_Hall 'P 1'
_cell_length_a 5.0274
_cell_length_b 5.0274
_cell_length_c 10.1028
_cell_angle_alpha 90.00
_cell_angle_beta 90.00
_cell_angle_gamma 90.00
loop_
_atom_site_label
_atom_site_type_symbol
_atom_site_fract_x
_atom_site_fract_y
_atom_site_fract_z
Bi1 Bi 0.0000 0.0000 0.1657
Bi2 Bi 0.0000 0.0000 0.8343
Bi3 Bi 0.5000 0.5000 0.3343
Bi4 Bi 0.5000 0.5000 0.6657
Pd1 Pd 0.0000 0.0000 0.5000
Pd2 Pd 0.5000 0.5000 0.0000
O1 O 0.1847 0.1847 0.3438
O2 O 0.1847 0.1847 0.6562
O3 O 0.2090 0.2090 0.0000
O4 O 0.2910 0.7090 0.5000
O5 O 0.3153 0.6847 0.1562
O6 O 0.3153 0.6847 0.8438
O7 O 0.6847 0.3153 0.1562
O8 O 0.6847 0.3153 0.8438
O9 O 0.7090 0.2910 0.5000
O10 O 0.7910 0.7910 0.0000
O11 O 0.8153 0.8153 0.3438
O12 O 0.8153 0.8153 0.6562
```

Main lines, low angle first (2θ from 5° to 70°):
two_theta, I (rel.)
19.72, 10
25.05, 100
31.99, 89
35.72, 28
48.70, 70
51.41, 17
58.01, 18
60.88, 17
61.84, 20
66.88, 10



No. 4
Structure and computed powder X-ray diffraction pattern of PuBi2PdO6 (the GGA-PBE geometry in Alexandria; a wavelength of 1.5418 Å).

Crystal structure
```
data_PuBi2PdO6
_chemical_formula_sum 'Pu1 Bi2 Pd1 O6'
_space_group_name_H-M_alt 'P 1'
_space_group_IT_number 1
_space_group_name_Hall 'P 1'
_cell_length_a 6.2865
_cell_length_b 6.2865
_cell_length_c 5.2964
_cell_angle_alpha 109.41
_cell_angle_beta 109.41
_cell_angle_gamma 52.87
loop_
_atom_site_label
_atom_site_type_symbol
_atom_site_fract_x
_atom_site_fract_y
_atom_site_fract_z
Pu1 Pu 0.0000 0.0000 0.0000
Bi1 Bi 0.2497 0.2497 0.7715
Bi2 Bi 0.7503 0.7503 0.2285
Pd1 Pd 0.5000 0.5000 0.5000
O1 O 0.1540 0.6484 0.1974
O2 O 0.1756 0.1756 0.3223
O3 O 0.3516 0.8460 0.8026
O4 O 0.6484 0.1540 0.1974
O5 O 0.8244 0.8244 0.6777
O6 O 0.8460 0.3516 0.8026
```

Main lines, low angle first (2θ from 5° to 70°):
two_theta, I (rel.)
18.01, 20
27.76, 100
29.94, 94
31.98, 36
34.05, 26
34.31, 27
46.27, 17
47.41, 29
47.61, 29
55.74, 17



No. 5
Structure and computed powder X-ray diffraction pattern of PuBiPdO6 (the GGA-PBE geometry in Alexandria; a wavelength of 1.5418 Å).

Crystal structure
```
data_PuBiPdO6
_chemical_formula_sum 'Pu2 Bi2 Pd2 O12'
_space_group_name_H-M_alt 'P 1'
_space_group_IT_number 1
_space_group_name_Hall 'P 1'
_cell_length_a 5.4038
_cell_length_b 5.4038
_cell_length_c 10.2455
_cell_angle_alpha 90.00
_cell_angle_beta 90.00
_cell_angle_gamma 120.00
loop_
_atom_site_label
_atom_site_type_symbol
_atom_site_fract_x
_atom_site_fract_y
_atom_site_fract_z
Pu1 Pu 0.3333 0.6667 0.2500
Pu2 Pu 0.6667 0.3333 0.7500
Bi1 Bi 0.0000 0.0000 0.0000
Bi2 Bi 0.0000 0.0000 0.5000
Pd1 Pd 0.3333 0.6667 0.7500
Pd2 Pd 0.6667 0.3333 0.2500
O1 O 0.0030 0.3542 0.6375
O2 O 0.0030 0.6488 0.8625
O3 O 0.3512 0.3542 0.8625
O4 O 0.3512 0.9970 0.6375
O5 O 0.3542 0.0030 0.1375
O6 O 0.3542 0.3512 0.3625
O7 O 0.6458 0.6488 0.6375
O8 O 0.6458 0.9970 0.8625
O9 O 0.6488 0.0030 0.3625
O10 O 0.6488 0.6458 0.1375
O11 O 0.9970 0.3512 0.1375
O12 O 0.9970 0.6458 0.3625
```

Main lines, low angle first (2θ from 5° to 70°):
two_theta, I (rel.)
17.31, 7
20.87, 13
25.79, 100
33.16, 46
35.03, 11
42.47, 27
49.00, 44
54.91, 26
57.45, 11
59.23, 14



No. 6
Structure and computed powder X-ray diffraction pattern of Bi2PdSe4O12 (the GGA-PBE geometry in Alexandria; a wavelength of 1.5418 Å).

Crystal structure
```
data_Bi2PdSe4O12
_chemical_formula_sum 'Bi4 Pd2 Se8 O24'
_space_group_name_H-M_alt 'P 1'
_space_group_IT_number 1
_space_group_name_Hall 'P 1'
_cell_length_a 11.1093
_cell_length_b 7.4206
_cell_length_c 8.1414
_cell_angle_alpha 90.00
_cell_angle_beta 109.51
_cell_angle_gamma 90.00
loop_
_atom_site_label
_atom_site_type_symbol
_atom_site_fract_x
_atom_site_fract_y
_atom_site_fract_z
Bi1 Bi 0.0957 0.1180 0.2427
Bi2 Bi 0.0957 0.3820 0.7427
Bi3 Bi 0.9043 0.6180 0.2573
Bi4 Bi 0.9043 0.8820 0.7573
Pd1 Pd 0.5000 0.0000 0.5000
Pd2 Pd 0.5000 0.5000 0.0000
Se1 Se 0.1801 0.6751 0.1370
Se2 Se 0.1801 0.8249 0.6370
Se3 Se 0.3647 0.1775 0.1117
Se4 Se 0.3647 0.3225 0.6117
Se5 Se 0.6353 0.6775 0.3883
Se6 Se 0.6353 0.8225 0.8883
Se7 Se 0.8199 0.1751 0.3630
Se8 Se 0.8199 0.3249 0.8630
O1 O 0.0700 0.6435 0.5757
O2 O 0.0700 0.8565 0.0757
O3 O 0.0871 0.5183 0.1949
O4 O 0.0871 0.9817 0.6949
O5 O 0.1755 0.6176 0.9297
O6 O 0.1755 0.8824 0.4297
O7 O 0.2037 0.2207 0.0213
O8 O 0.2037 0.2793 0.5213
O9 O 0.3456 0.1007 0.3076
O10 O 0.3456 0.3993 0.8076
O11 O 0.4346 0.1138 0.6823
O12 O 0.4346 0.3862 0.1823
O13 O 0.5654 0.6138 0.8177
O14 O 0.5654 0.8862 0.3177
O15 O 0.6544 0.6007 0.1924
O16 O 0.6544 0.8993 0.6924
O17 O 0.7963 0.7207 0.4787
O18 O 0.7963 0.7793 0.9787
O19 O 0.8245 0.1176 0.5703
O20 O 0.8245 0.3824 0.0703
O21 O 0.9129 0.0183 0.3051
O22 O 0.9129 0.4817 0.8051
O23 O 0.9300 0.1435 0.9243
O24 O 0.9300 0.3565 0.4243
```

Main lines, low angle first (2θ from 5° to 70°):
two_theta, I (rel.)
8.44, 78
14.63, 25
16.81, 43
26.68, 100
27.09, 59
27.29, 57
28.25, 29
29.22, 47
30.75, 44
46.27, 38



No. 7
Structure and computed powder X-ray diffraction pattern of PmBi2O4 (the GGA-PBE geometry in Alexandria; a wavelength of 1.5418 Å).

Crystal structure
```
data_PmBi2O4
_chemical_formula_sum 'Pm2 Bi4 O8'
_space_group_name_H-M_alt 'P 1'
_space_group_IT_number 1
_space_group_name_Hall 'P 1'
_cell_length_a 7.1534
_cell_length_b 7.1534
_cell_length_c 7.1534
_cell_angle_alpha 119.90
_cell_angle_beta 119.90
_cell_angle_gamma 90.17
loop_
_atom_site_label
_atom_site_type_symbol
_atom_site_fract_x
_atom_site_fract_y
_atom_site_fract_z
Pm1 Pm 0.3750 0.6250 0.7500
Pm2 Pm 0.6250 0.3750 0.2500
Bi1 Bi 0.0000 0.0000 0.0000
Bi2 Bi 0.0000 0.0000 0.5000
Bi3 Bi 0.0000 0.5000 0.0000
Bi4 Bi 0.5000 0.0000 0.5000
O1 O 0.2316 0.2446 0.9870
O2 O 0.2424 0.7554 0.4870
O3 O 0.2446 0.2316 0.4870
O4 O 0.2446 0.7576 0.0130
O5 O 0.7554 0.2424 0.9870
O6 O 0.7554 0.7684 0.5130
O7 O 0.7576 0.2446 0.5130
O8 O 0.7684 0.7554 0.0130
```

Main lines, low angle first (2θ from 5° to 70°):
two_theta, I (rel.)
15.16, 18
24.88, 17
29.27, 100
30.60, 37
35.44, 12
46.60, 29
46.72, 10
51.05, 44
59.93, 14
60.65, 12



No. 8
Structure and computed powder X-ray diffraction pattern of Pm6Bi3O (the GGA-PBE geometry in Alexandria; a wavelength of 1.5418 Å).

Crystal structure
```
data_Pm6Bi3O
_chemical_formula_sum 'Pm12 Bi6 O2'
_space_group_name_H-M_alt 'P 1'
_space_group_IT_number 1
_space_group_name_Hall 'P 1'
_cell_length_a 9.6698
_cell_length_b 9.6698
_cell_length_c 7.2213
_cell_angle_alpha 90.00
_cell_angle_beta 90.00
_cell_angle_gamma 102.76
loop_
_atom_site_label
_atom_site_type_symbol
_atom_site_fract_x
_atom_site_fract_y
_atom_site_fract_z
Pm1 Pm 0.0625 0.9375 0.5000
Pm2 Pm 0.1041 0.5735 0.4478
Pm3 Pm 0.2401 0.7599 0.9011
Pm4 Pm 0.2942 0.3658 0.9355
Pm5 Pm 0.3658 0.2942 0.4355
Pm6 Pm 0.4265 0.8959 0.4478
Pm7 Pm 0.5735 0.1041 0.9478
Pm8 Pm 0.6342 0.7058 0.9355
Pm9 Pm 0.7058 0.6342 0.4355
Pm10 Pm 0.7599 0.2401 0.4011
Pm11 Pm 0.8959 0.4265 0.9478
Pm12 Pm 0.9375 0.0625 0.0000
Bi1 Bi 0.0551 0.2643 0.6366
Bi2 Bi 0.2643 0.0551 0.1366
Bi3 Bi 0.3949 0.6051 0.2358
Bi4 Bi 0.6051 0.3949 0.7358
Bi5 Bi 0.7357 0.9449 0.6366
Bi6 Bi 0.9449 0.7357 0.1366
O1 O 0.2071 0.7929 0.5923
O2 O 0.7929 0.2071 0.0923
```

Main lines, low angle first (2θ from 5° to 70°):
two_theta, I (rel.)
22.52, 43
22.75, 35
31.03, 100
33.88, 62
34.35, 70
37.21, 28
44.26, 18
45.07, 27
57.88, 27
62.20, 21